Entry 1:
For CsZnAgF6, a structure optimized by DFT (GGA-PBE) gives the simulated XRD peak list in this record (Cu Kα).
Neutral-atom scattering factors, no anomalous dispersion.

Largest 10 diffraction maxima, by intensity, 2θ from 10° to 90°:
two_theta  I (rel.)
26.68  1000
27.61  805
47.47  530
27.25  394
29.08  387
23.22  321
43.69  280
27.87  238
42.35  217
48.72  159

Cell and atoms:
a b c (Å): 7.6696 7.6696 7.6696
angles (deg): 121.66 117.45 90.81
Element x y z (fractional)
Cs1 0.3557 0.1057 0.2500
Cs2 0.6443 0.8943 0.7500
Zn1 0.0000 0.0000 0.5000
Zn2 0.0000 0.5000 0.0000
Ag1 0.0000 0.5000 0.5000
Ag2 0.5000 0.5000 0.0000
F1 0.0612 0.8112 0.2500
F2 0.0627 0.4155 0.2314
F3 0.0627 0.8313 0.6472
F4 0.3159 0.1687 0.7314
F5 0.3159 0.5845 0.1472
F6 0.3241 0.5741 0.7500
F7 0.6759 0.4259 0.2500
F8 0.6841 0.4155 0.8528
F9 0.6841 0.8313 0.2686
F10 0.9373 0.1687 0.3528
F11 0.9373 0.5845 0.7686
F12 0.9388 0.1888 0.7500

Entry 2:
For CsFeAgI4, a structure optimized by DFT (GGA-PBE) gives the simulated XRD peak list in this record (Cu Kα).
Neutral-atom scattering factors, no anomalous dispersion.

Largest 10 diffraction maxima, by intensity, 2θ from 10° to 90°:
two_theta  I (rel.)
25.43  1000
27.58  903
25.22  778
26.22  705
25.52  632
33.92  458
38.59  443
28.37  390
43.40  374
21.31  360

Cell and atoms:
a b c (Å): 6.7978 8.3406 10.7551
angles (deg): 90.00 107.66 90.00
Element x y z (fractional)
Cs1 0.1909 0.2500 0.3920
Cs2 0.8091 0.7500 0.6080
Fe1 0.3378 0.7500 0.1980
Fe2 0.6622 0.2500 0.8020
Ag1 0.3747 0.2500 0.9836
Ag2 0.6253 0.7500 0.0164
I1 0.0263 0.7500 0.9864
I2 0.2185 0.7500 0.4084
I3 0.4226 0.5012 0.7955
I4 0.4226 0.9988 0.7955
I5 0.5774 0.0012 0.2045
I6 0.5774 0.4988 0.2045
I7 0.7815 0.2500 0.5916
I8 0.9737 0.2500 0.0136

Entry 3:
For Cs3Ga4Ag2, a structure optimized by DFT (GGA-PBE) gives the simulated XRD peak list in this record (Cu Kα).
Neutral-atom scattering factors, no anomalous dispersion.

Largest 10 diffraction maxima, by intensity, 2θ from 10° to 90°:
two_theta  I (rel.)
26.25  1000
25.27  764
37.82  601
25.45  428
39.56  397
42.10  319
29.49  279
29.31  279
25.86  264
24.15  227

Cell and atoms:
a b c (Å): 4.7583 7.3465 9.3857
angles (deg): 93.52 104.52 108.34
Element x y z (fractional)
Cs1 0.0000 0.0000 0.0000
Cs2 0.2535 0.8685 0.6402
Cs3 0.7465 0.1315 0.3598
Ga1 0.3352 0.5774 0.0790
Ga2 0.4829 0.5790 0.3768
Ga3 0.5171 0.4210 0.6232
Ga4 0.6648 0.4226 0.9210
Ag1 0.0818 0.4079 0.7695
Ag2 0.9182 0.5921 0.2305

Entry 4:
For CsGaAgSe2, a structure optimized by DFT (GGA-PBE) gives the simulated XRD peak list in this record (Cu Kα).
Neutral-atom scattering factors, no anomalous dispersion.

Largest 10 diffraction maxima, by intensity, 2θ from 10° to 90°:
two_theta  I (rel.)
26.44  1000
29.06  441
27.26  347
39.43  251
46.16  238
32.82  225
47.69  194
12.23  171
54.42  166
36.42  165

Cell and atoms:
a b c (Å): 7.9435 7.9435 6.7868
angles (deg): 90.00 90.00 131.37
Element x y z (fractional)
Cs1 0.2500 0.7500 0.7615
Cs2 0.7500 0.2500 0.2385
Ga1 0.2500 0.2500 0.5000
Ga2 0.7500 0.7500 0.5000
Ag1 0.0000 0.0000 0.0000
Ag2 0.5000 0.5000 0.0000
Se1 0.1079 0.8921 0.2883
Se2 0.3921 0.6079 0.2883
Se3 0.6079 0.3921 0.7117
Se4 0.8921 0.1079 0.7117

Entry 5:
For CsGd2Ag3Te5, a structure optimized by DFT (GGA-PBE) gives the simulated XRD peak list in this record (Cu Kα).
Neutral-atom scattering factors, no anomalous dispersion.

Largest 10 diffraction maxima, by intensity, 2θ from 10° to 90°:
two_theta  I (rel.)
25.68  1000
26.99  938
42.35  927
39.06  894
31.73  889
28.56  820
33.45  713
34.83  630
25.23  527
49.09  386

Cell and atoms:
a b c (Å): 8.5436 8.5436 18.7534
angles (deg): 90.00 90.00 148.68
Element x y z (fractional)
Cs1 0.0583 0.9417 0.7500
Cs2 0.9417 0.0583 0.2500
Gd1 0.1914 0.8086 0.0935
Gd2 0.1914 0.8086 0.4065
Gd3 0.8086 0.1914 0.5935
Gd4 0.8086 0.1914 0.9065
Ag1 0.3416 0.6584 0.7500
Ag2 0.4152 0.5848 0.0335
Ag3 0.4152 0.5848 0.4665
Ag4 0.5848 0.4152 0.5335
Ag5 0.5848 0.4152 0.9665
Ag6 0.6584 0.3416 0.2500
Te1 0.1767 0.8233 0.5723
Te2 0.1767 0.8233 0.9277
Te3 0.2531 0.7469 0.2500
Te4 0.4363 0.5637 0.6180
Te5 0.4363 0.5637 0.8820
Te6 0.5637 0.4363 0.1180
Te7 0.5637 0.4363 0.3820
Te8 0.7469 0.2531 0.7500
Te9 0.8233 0.1767 0.0723
Te10 0.8233 0.1767 0.4277

Entry 6:
For CsNa2AgGe, a structure optimized by DFT (GGA-PBE) gives the simulated XRD peak list in this record (Cu Kα).
Neutral-atom scattering factors, no anomalous dispersion.

Largest 10 diffraction maxima, by intensity, 2θ from 10° to 90°:
two_theta  I (rel.)
21.44  1000
30.51  773
23.50  621
48.07  422
42.49  329
38.87  326
28.06  286
58.00  285
43.69  281
36.23  242

Cell and atoms:
a b c (Å): 5.8604 5.8604 4.9590
angles (deg): 90.00 90.00 90.00
Element x y z (fractional)
Cs1 0.0000 0.0000 0.0000
Na1 0.0000 0.5000 0.5000
Na2 0.5000 0.0000 0.5000
Ag1 0.5000 0.5000 0.5000
Ge1 0.5000 0.5000 0.0000

Entry 7:
For CsAgGeTe2, a structure optimized by DFT (GGA-PBE) gives the simulated XRD peak list in this record (Cu Kα).
Neutral-atom scattering factors, no anomalous dispersion.

Largest 10 diffraction maxima, by intensity, 2θ from 10° to 90°:
two_theta  I (rel.)
24.61  1000
25.18  364
27.99  257
44.01  229
33.54  208
42.98  203
36.41  200
36.21  165
44.52  159
34.29  150

Cell and atoms:
a b c (Å): 8.6790 8.6790 6.9625
angles (deg): 90.00 90.00 131.90
Element x y z (fractional)
Cs1 0.2500 0.7500 0.7678
Cs2 0.7500 0.2500 0.2322
Ag1 0.0000 0.0000 0.0000
Ag2 0.5000 0.5000 0.0000
Ge1 0.2500 0.2500 0.5000
Ge2 0.7500 0.7500 0.5000
Te1 0.1134 0.8866 0.2808
Te2 0.3866 0.6134 0.2808
Te3 0.6134 0.3866 0.7192
Te4 0.8866 0.1134 0.7192

Entry 8:
For Cs6AgH, a structure optimized by DFT (GGA-PBE) gives the simulated XRD peak list in this record (Cu Kα).
Neutral-atom scattering factors, no anomalous dispersion.

Largest 10 diffraction maxima, by intensity, 2θ from 10° to 90°:
two_theta  I (rel.)
24.12  1000
21.02  766
21.25  515
34.34  492
24.61  461
20.67  369
35.09  354
34.45  179
42.80  173
11.33  166

Cell and atoms:
a b c (Å): 9.0262 9.0262 8.8087
angles (deg): 99.06 99.06 119.81
Element x y z (fractional)
Cs1 0.0601 0.3626 0.2428
Cs2 0.2501 0.2501 0.7815
Cs3 0.3626 0.0601 0.2428
Cs4 0.6374 0.9399 0.7572
Cs5 0.7499 0.7499 0.2185
Cs6 0.9399 0.6374 0.7572
Ag1 0.5000 0.5000 0.5000
H1 0.0000 0.0000 0.0000

Entry 9:
For CsAgH, a structure optimized by DFT (GGA-PBE) gives the simulated XRD peak list in this record (Cu Kα).
Neutral-atom scattering factors, no anomalous dispersion.

Largest 10 diffraction maxima, by intensity, 2θ from 10° to 90°:
two_theta  I (rel.)
30.39  1000
23.87  566
37.11  349
32.98  284
57.30  158
50.56  142
50.41  141
23.13  132
52.66  128
66.07  119

Cell and atoms:
a b c (Å): 8.3807 8.3807 5.4314
angles (deg): 108.70 108.70 27.12
Element x y z (fractional)
Cs1 0.0948 0.0948 0.3443
Cs2 0.9052 0.9052 0.6557
Ag1 0.3164 0.3164 0.0675
Ag2 0.6836 0.6836 0.9325
H1 0.4346 0.4346 0.1871
H2 0.5654 0.5654 0.8129

Entry 10:
For Cs2InAgH6, a structure optimized by DFT (GGA-PBE) gives the simulated XRD peak list in this record (Cu Kα).
Neutral-atom scattering factors, no anomalous dispersion.

Largest 10 diffraction maxima, by intensity, 2θ from 10° to 90°:
two_theta  I (rel.)
29.55  1000
27.06  629
49.39  466
53.91  179
38.58  125
38.70  124
61.34  123
77.70  122
55.80  82
45.70  76

Cell and atoms:
a b c (Å): 6.5906 6.1277 6.1174
angles (deg): 65.12 57.51 57.36
Element x y z (fractional)
Cs1 0.2500 0.2500 0.2500
Cs2 0.7500 0.7500 0.7500
In1 0.0000 0.0000 0.0000
Ag1 0.5000 0.5000 0.5000
H1 0.2053 0.2053 0.7947
H2 0.2060 0.7940 0.2060
H3 0.2773 0.7227 0.7227
H4 0.7227 0.2773 0.2773
H5 0.7940 0.2060 0.7940
H6 0.7947 0.7947 0.2053

Entry 11:
For CsAgH6Pt, a structure optimized by DFT (GGA-PBE) gives the simulated XRD peak list in this record (Cu Kα).
Neutral-atom scattering factors, no anomalous dispersion.

Largest 10 diffraction maxima, by intensity, 2θ from 10° to 90°:
two_theta  I (rel.)
24.96  1000
35.27  445
46.56  413
29.41  240
14.58  220
43.69  220
57.35  198
49.54  152
38.35  115
71.31  115

Cell and atoms:
a b c (Å): 5.0892 5.0892 6.0747
angles (deg): 90.00 90.00 120.00
Element x y z (fractional)
Cs1 0.0000 0.0000 0.0000
Ag1 0.3333 0.6667 0.5000
H1 0.4059 0.0610 0.6590
H2 0.4059 0.3449 0.3410
H3 0.6551 0.0610 0.3410
H4 0.6551 0.5941 0.6590
H5 0.9390 0.3449 0.6590
H6 0.9390 0.5941 0.3410
Pt1 0.6667 0.3333 0.5000

Entry 12:
For Cs2SiAgH6, a structure optimized by DFT (GGA-PBE) gives the simulated XRD peak list in this record (Cu Kα).
Neutral-atom scattering factors, no anomalous dispersion.

Largest 10 diffraction maxima, by intensity, 2θ from 10° to 90°:
two_theta  I (rel.)
29.45  1000
30.10  471
53.06  368
51.84  197
43.09  178
18.04  124
61.11  122
41.17  102
83.88  101
86.47  94

Cell and atoms:
a b c (Å): 5.9376 5.9376 6.0728
angles (deg): 119.31 119.31 89.91
Element x y z (fractional)
Cs1 0.2498 0.7502 0.0000
Cs2 0.7502 0.2498 0.0000
Si1 0.9997 0.9997 0.4996
Ag1 0.5009 0.5009 0.5008
H1 0.1864 0.1864 0.8726
H2 0.1958 0.1958 0.4993
H3 0.1965 0.8027 0.4996
H4 0.8027 0.1965 0.4996
H5 0.8033 0.8033 0.4999
H6 0.8127 0.8127 0.1263